[1]
For YZr2S5, a PBE-relaxed structure gives the theoretical XRD peak list in this record (Cu Kα X-rays).
Intensities are scaled so that the largest is 100.

The 8 most intense peaks (2θ from 5° to 70°), in order of falling intensity:
| 2θ/deg | I (rel.) |
| --- | --- |
| 13.4 | 100.0 |
| 33.4 | 39.1 |
| 43.4 | 21.9 |
| 35.5 | 16.4 |
| 38.1 | 15.0 |
| 27.2 | 11.7 |
| 39.7 | 9.5 |
| 42.0 | 7.8 |

Atomic structure:
Lattice parameters (Å, degrees): 5.057 13.638 7.087 90.00 110.83 90.00
Element x y z (fractional)
Y 0.000 0.000 0.000
Y 0.500 0.500 0.000
Zr 0.000 0.314 0.000
Zr 0.000 0.686 0.000
Zr 0.500 0.186 0.000
Zr 0.500 0.814 0.000
S 0.000 0.500 0.000
S 0.118 0.170 0.236
S 0.118 0.830 0.236
S 0.382 0.330 0.764
S 0.382 0.670 0.764
S 0.500 0.000 0.000
S 0.618 0.330 0.236
S 0.618 0.670 0.236
S 0.882 0.170 0.764
S 0.882 0.830 0.764

=====

[2]
For HfP2O7, a PBE-relaxed structure gives the theoretical XRD peak list in this record (Cu Kα X-rays).
Intensities are scaled so that the largest is 100.

The 8 most intense peaks (2θ from 5° to 70°), in order of falling intensity:
| 2θ/deg | I (rel.) |
| --- | --- |
| 21.0 | 100.0 |
| 18.1 | 75.3 |
| 35.1 | 60.4 |
| 29.8 | 48.1 |
| 48.0 | 35.3 |
| 56.4 | 30.4 |
| 52.9 | 28.6 |
| 46.7 | 21.0 |

Atomic structure:
Lattice parameters (Å, degrees): 8.473 8.473 8.473 90.00 90.00 90.00
Element x y z (fractional)
Hf 0.000 0.000 0.000
Hf 0.000 0.500 0.500
Hf 0.500 0.000 0.500
Hf 0.500 0.500 0.000
P 0.108 0.608 0.892
P 0.108 0.892 0.392
P 0.392 0.108 0.892
P 0.392 0.392 0.392
P 0.608 0.608 0.608
P 0.608 0.892 0.108
P 0.892 0.108 0.608
P 0.892 0.392 0.108
O 0.000 0.000 0.500
O 0.000 0.500 0.000
O 0.058 0.722 0.422
O 0.058 0.778 0.922
O 0.078 0.558 0.722
O 0.078 0.942 0.222
O 0.222 0.078 0.942
O 0.222 0.422 0.442
O 0.278 0.578 0.942
O 0.278 0.922 0.442
O 0.422 0.058 0.722
O 0.422 0.442 0.222
O 0.442 0.222 0.422
O 0.442 0.278 0.922
O 0.500 0.000 0.000
O 0.500 0.500 0.500
O 0.558 0.722 0.078
O 0.558 0.778 0.578
O 0.578 0.558 0.778
O 0.578 0.942 0.278
O 0.722 0.078 0.558
O 0.722 0.422 0.058
O 0.778 0.578 0.558
O 0.778 0.922 0.058
O 0.922 0.058 0.778
O 0.922 0.442 0.278
O 0.942 0.222 0.078
O 0.942 0.278 0.578

=====

[3]
For Tb4Nd4Tm, a PBE-relaxed structure gives the theoretical XRD peak list in this record (Cu Kα X-rays).
Intensities are scaled so that the largest is 100.

The 8 most intense peaks (2θ from 5° to 70°), in order of falling intensity:
| 2θ/deg | I (rel.) |
| --- | --- |
| 30.4 | 100.0 |
| 35.1 | 34.0 |
| 60.1 | 21.7 |
| 50.6 | 18.1 |
| 35.3 | 16.7 |
| 60.3 | 14.2 |
| 50.5 | 12.1 |
| 60.2 | 7.2 |

Atomic structure:
Lattice parameters (Å, degrees): 6.231 6.231 10.820 106.57 106.57 48.45
Element x y z (fractional)
Tb 0.166 0.166 0.054
Tb 0.167 0.167 0.723
Tb 0.833 0.833 0.277
Tb 0.834 0.834 0.946
Nd 0.167 0.167 0.389
Nd 0.500 0.500 0.168
Nd 0.500 0.500 0.832
Nd 0.833 0.833 0.611
Tm 0.500 0.500 0.500

=====

[4]
For Pm2Er2Sn5, a PBE-relaxed structure gives the theoretical XRD peak list in this record (Cu Kα X-rays).
Intensities are scaled so that the largest is 100.

The 8 most intense peaks (2θ from 5° to 70°), in order of falling intensity:
| 2θ/deg | I (rel.) |
| --- | --- |
| 35.8 | 100.0 |
| 29.7 | 71.1 |
| 31.5 | 69.5 |
| 33.1 | 67.5 |
| 45.1 | 33.2 |
| 32.7 | 29.4 |
| 24.7 | 26.7 |
| 37.1 | 26.5 |

Atomic structure:
Lattice parameters (Å, degrees): 9.144 9.144 8.033 90.00 90.00 52.09
Element x y z (fractional)
Pm 0.191 0.191 0.000
Pm 0.309 0.309 0.500
Pm 0.691 0.691 0.500
Pm 0.809 0.809 0.000
Er 0.166 0.834 0.666
Er 0.334 0.666 0.166
Er 0.666 0.334 0.834
Er 0.834 0.166 0.334
Sn 0.000 0.000 0.000
Sn 0.003 0.262 0.629
Sn 0.238 0.497 0.871
Sn 0.262 0.003 0.371
Sn 0.497 0.238 0.129
Sn 0.500 0.500 0.500
Sn 0.503 0.762 0.871
Sn 0.738 0.997 0.629
Sn 0.762 0.503 0.129
Sn 0.997 0.738 0.371

=====

[5]
For Tc2GeSe, a PBE-relaxed structure gives the theoretical XRD peak list in this record (Cu Kα X-rays).
Intensities are scaled so that the largest is 100.

The 5 most intense peaks (2θ from 5° to 70°), in order of falling intensity:
| 2θ/deg | I (rel.) |
| --- | --- |
| 41.3 | 100.0 |
| 59.9 | 16.4 |
| 28.9 | 2.3 |
| 67.8 | 0.7 |
| 51.2 | 0.6 |

Atomic structure:
Lattice parameters (Å, degrees): 6.180 6.180 6.180 90.00 90.00 90.00
Element x y z (fractional)
Tc 0.250 0.250 0.250
Tc 0.250 0.250 0.750
Tc 0.250 0.750 0.250
Tc 0.250 0.750 0.750
Tc 0.750 0.250 0.250
Tc 0.750 0.250 0.750
Tc 0.750 0.750 0.250
Tc 0.750 0.750 0.750
Ge 0.000 0.000 0.000
Ge 0.000 0.500 0.500
Ge 0.500 0.000 0.500
Ge 0.500 0.500 0.000
Se 0.000 0.000 0.500
Se 0.000 0.500 0.000
Se 0.500 0.000 0.000
Se 0.500 0.500 0.500